Theoretical powder diffraction line list
Compound: Ru2WAu
Radiation: CuKα
Structure: a GGA-PBE-relaxed structure
No peak broadening, texture or thermal motion is included.

Structure:
Unit cell a=2.757 b=2.757 c=8.135 alpha=90.00 beta=90.00 gamma=90.00
Positions (direct):
Ru (0.000, 0.000, 0.000)
Ru (0.500, 0.500, 0.211)
W (0.000, 0.000, 0.468)
Au (0.500, 0.500, 0.731)

Main lines, sorted by position (10° ≤ 2θ ≤ 90°):
hkl	2θ (°)	I_rel
0 0 1	10.9	120
0 0 3	33.0	56
1 0 1	34.3	101
1 0 2	39.5	1000
0 0 4	44.6	164
1 1 0	46.6	320
1 1 4	66.4	200
1 0 5	66.8	52
2 0 0	68.0	103
1 0 6	78.6	110
2 1 2	81.6	247
2 0 4	85.0	104